# CeSe2
Theoretical X-ray diffraction stick pattern, Cu Kα X-rays. Input: the PBE geometry in the Materials Project.
No peak broadening, texture or thermal motion is included.

Atomic structure:
```
data_CeSe2
_cell_length_a 17.5445
_cell_length_b 25.6886
_cell_length_c 15.0658
_cell_angle_alpha 90.00
_cell_angle_beta 105.51
_cell_angle_gamma 90.00
_space_group_name_H-M_alt 'C 1 2/m 1'
_space_group_IT_number 12
loop_
_space_group_symop_operation_xyz
'x,y,z'
'-x,-y,-z'
'-x,y,-z'
'x,-y,z'
'x+1/2,y+1/2,z'
'-x+1/2,-y+1/2,-z'
'-x+1/2,y+1/2,-z'
'x+1/2,-y+1/2,z'
loop_
_atom_site_label
_atom_site_type_symbol
_atom_site_fract_x
_atom_site_fract_y
_atom_site_fract_z
Ce1 Ce 0.0993 0.1009 0.3094
Ce2 Ce 0.1478 0.2563 0.1070
Ce3 Ce 0.1942 0.1001 0.6680
Se1 Se 0.0000 0.2782 0.0000
Se2 Se 0.0585 0.1194 0.7179
Se3 Se 0.1202 0.0000 0.2681
Se4 Se 0.1565 0.1637 0.1965
Se5 Se 0.1790 0.1226 0.4870
Se6 Se 0.1928 0.3377 0.2242
Se7 Se 0.2383 0.0000 0.7119
Se8 Se 0.2500 0.2500 0.0000
```

Most intense lines, 2θ from 5° to 70°, in order of rising 2θ:
(hkl)  2θ (°)  I_rel
1 1 0  6.26  100
1 1 -1  7.70  31
0 2 1  9.19  53
2 0 0  10.47  15
2 0 -1  10.61  21
0 0 2  12.19  16
0 4 1  15.09  37
3 1 -1  15.66  22
1 5 0  18.04  15
0 8 0  27.80  16